Entry 1:
Calculated X-ray diffraction stick pattern
Compound: Dy2Ho3Al3
Radiation: a wavelength of 1.5418 Å
Structure: the GGA-PBE geometry in Alexandria

The 10 most intense peaks (10° ≤ 2θ ≤ 90°), most intense first:
d/Å  I/Imax
2.677  100
2.386  38
1.427  29
3.374  20
1.617  18
4.399  16
1.687  13
2.199  12
3.150  11
1.339  10

Cell and atoms:
abc: 4.7711 4.7726 8.7973
angles: 90.00 90.00 90.00
Space group Pmmm (No. 47)
Inequivalent atoms, fractional coordinates:
Dy: 0.0000 0.0000 0.2281 x2
Ho: 0.0000 0.5000 0.5000 x1
Ho: 0.5000 0.5000 0.2262 x2
Al: 0.0000 0.5000 0.0000 x1
Al: 0.5000 0.0000 0.0000 x1
Al: 0.5000 0.0000 0.5000 x1

=====

Entry 2:
Calculated X-ray diffraction stick pattern
Compound: Nd3Sm2Y3
Radiation: a wavelength of 1.5418 Å
Structure: the GGA-PBE geometry in Alexandria

The 10 most intense peaks (10° ≤ 2θ ≤ 90°), most intense first:
d/Å  I/Imax
2.812  100
2.862  99
2.914  61
3.045  43
2.105  30
2.648  27
1.604  25
1.662  21
1.672  20
1.920  17

Cell and atoms:
abc: 16.3833 5.8270 6.0917
angles: 90.00 110.36 90.00
Space group C2/m (No. 12)
Inequivalent atoms, fractional coordinates:
Nd: 0.0000 0.0000 0.0000 x2
Nd: 0.1343 0.0000 0.6930 x4
Sm: 0.2494 0.0000 0.3172 x4
Y: 0.0000 0.5000 0.5000 x2
Y: 0.1310 0.5000 0.0819 x4